1.
VCrIr3: theoretical X-ray diffraction stick pattern (CuKα), based on a PBE-relaxed structure.

The 10 most intense peaks (2θ from 10° to 90°), low angle first:
22.52°, rel. 17, (1 -1 0); 26.50°, rel. 13, (0 1 1); 27.18°, rel. 21, (1 -1 1); 40.89°, rel. 51, (-1 2 1); 41.00°, rel. 50, (1 0 2); 41.18°, rel. 100, (2 0 -1); 47.22°, rel. 34, (1 0 -3); 47.56°, rel. 33, (1 2 0); 48.55°, rel. 30, (2 -2 1); 70.32°, rel. 20, (1 -4 1)

```
data_VCrIr3
_symmetry_space_group_name_H-M 'P -1'
_symmetry_Int_Tables_number 2
_cell_length_a 4.6270
_cell_length_b 5.3570
_cell_length_c 6.0653
_cell_angle_alpha 102.03
_cell_angle_beta 98.31
_cell_angle_gamma 106.03
loop_
_symmetry_equiv_pos_as_xyz
'x,y,z'
'-x,-y,-z'
loop_
_atom_site_label
_atom_site_type_symbol
_atom_site_fract_x
_atom_site_fract_y
_atom_site_fract_z
V1 V 0.1108 0.4501 0.2068
Cr1 Cr 0.3231 0.8758 0.6098
Ir1 Ir 0.1034 0.9462 0.2090
Ir2 Ir 0.2850 0.3514 0.5914
Ir3 Ir 0.4848 0.7484 0.9952
```

***

2.
VCrIr: theoretical X-ray diffraction stick pattern (CuKα), based on a PBE-relaxed structure.

The 10 most intense peaks (2θ from 10° to 90°), low angle first:
23.91°, rel. 100, (1 1 0); 31.21°, rel. 79, (1 1 1); 33.72°, rel. 62, (0 2 0); 35.59°, rel. 55, (1 1 -2); 37.32°, rel. 54, (0 2 1); 39.72°, rel. 88, (2 0 -2); 41.96°, rel. 79, (2 0 1); 46.70°, rel. 72, (0 2 2); 47.81°, rel. 45, (0 0 3); 48.29°, rel. 60, (2 2 -1)

```
data_VCrIr
_symmetry_space_group_name_H-M 'C 1 2/m 1'
_symmetry_Int_Tables_number 12
_cell_length_a 5.4337
_cell_length_b 5.3160
_cell_length_c 5.9483
_cell_angle_alpha 90.00
_cell_angle_beta 106.35
_cell_angle_gamma 90.00
loop_
_symmetry_equiv_pos_as_xyz
'x,y,z'
'-x,-y,-z'
'-x,y,-z'
'x,-y,z'
'x+1/2,y+1/2,z'
'-x+1/2,-y+1/2,-z'
'-x+1/2,y+1/2,-z'
'x+1/2,-y+1/2,z'
loop_
_atom_site_label
_atom_site_type_symbol
_atom_site_fract_x
_atom_site_fract_y
_atom_site_fract_z
V1 V 0.0648 0.0000 0.2781
Cr1 Cr 0.2500 0.2500 0.0000
Ir1 Ir 0.0956 0.5000 0.3181
```

***

3.
Cr5Ir6W: theoretical X-ray diffraction stick pattern (CuKα), based on a PBE-relaxed structure.

The 10 most intense peaks (2θ from 10° to 90°), low angle first:
23.79°, rel. 19, (1 0 1); 33.16°, rel. 17, (1 0 -2); 41.22°, rel. 100, (1 2 1); 47.60°, rel. 33, (1 2 -2); 48.69°, rel. 15, (2 0 2); 53.89°, rel. 9, (2 2 -1); 70.46°, rel. 20, (3 2 0); 84.15°, rel. 13, (2 4 -1); 84.27°, rel. 13, (3 2 -3); 85.84°, rel. 9, (3 2 3)

```
data_Cr5Ir6W
_symmetry_space_group_name_H-M 'P 1 2/m 1'
_symmetry_Int_Tables_number 10
_cell_length_a 4.6117
_cell_length_b 5.4097
_cell_length_c 6.5671
_cell_angle_alpha 90.00
_cell_angle_beta 91.09
_cell_angle_gamma 90.00
loop_
_symmetry_equiv_pos_as_xyz
'x,y,z'
'-x,-y,-z'
'-x,y,-z'
'x,-y,z'
loop_
_atom_site_label
_atom_site_type_symbol
_atom_site_fract_x
_atom_site_fract_y
_atom_site_fract_z
Cr1 Cr 0.0000 0.0000 0.0000
Cr2 Cr 0.3319 0.0000 0.6719
Cr3 Cr 0.3397 0.5000 0.6598
Ir1 Ir 0.1727 0.2476 0.3381
Ir2 Ir 0.5000 0.2449 0.0000
W1 W 0.0000 0.5000 0.0000
```

***

4.
K3Cr2: theoretical X-ray diffraction stick pattern (CuKα), based on a PBE-relaxed structure.

The 10 most intense peaks (2θ from 10° to 90°), low angle first:
11.85°, rel. 31, (0 0 1); 17.23°, rel. 21, (1 0 0); 29.56°, rel. 100, (1 0 2); 30.07°, rel. 95, (1 1 0); 32.42°, rel. 16, (1 1 1); 42.67°, rel. 33, (0 2 2); 52.13°, rel. 11, (1 0 4); 53.08°, rel. 33, (2 1 2); 53.40°, rel. 16, (3 0 0); 70.64°, rel. 13, (1 3 2)

```
data_K3Cr2
_symmetry_space_group_name_H-M 'P -3 m 1'
_symmetry_Int_Tables_number 164
_symmetry_space_group_name_Hall '-P 3 2"'
_cell_length_a 5.9438
_cell_length_b 5.9438
_cell_length_c 7.4657
_cell_angle_alpha 90.00
_cell_angle_beta 90.00
_cell_angle_gamma 120.00
loop_
_atom_site_label
_atom_site_type_symbol
_atom_site_fract_x
_atom_site_fract_y
_atom_site_fract_z
K1 K 0.0000 0.0000 0.0000
K2 K 0.3333 0.6667 0.3615
Cr1 Cr 0.3333 0.6667 0.8960
```

***

5.
K2Cr: theoretical X-ray diffraction stick pattern (CuKα), based on a PBE-relaxed structure.

The 10 most intense peaks (2θ from 10° to 90°), low angle first:
13.34°, rel. 33, (1 1 0); 25.57°, rel. 100, (2 1 1); 26.87°, rel. 31, (2 2 0); 30.11°, rel. 76, (3 1 0); 31.66°, rel. 41, (1 1 2); 34.49°, rel. 50, (2 0 2); 42.26°, rel. 21, (4 1 1); 43.10°, rel. 16, (4 2 0); 48.52°, rel. 18, (4 0 2); 50.56°, rel. 31, (3 3 2)

```
data_K2Cr
_symmetry_space_group_name_H-M 'I 4/m c m'
_symmetry_Int_Tables_number 140
_symmetry_space_group_name_Hall '-I 4 2c'
_cell_length_a 9.3852
_cell_length_b 9.3852
_cell_length_c 6.2481
_cell_angle_alpha 90.00
_cell_angle_beta 90.00
_cell_angle_gamma 90.00
loop_
_atom_site_label
_atom_site_type_symbol
_atom_site_fract_x
_atom_site_fract_y
_atom_site_fract_z
K1 K 0.1653 0.3347 0.0000
Cr1 Cr 0.0000 0.0000 0.2500
```

***

6.
K3Cr2: theoretical X-ray diffraction stick pattern (CuKα), based on a PBE-relaxed structure.

The 10 most intense peaks (2θ from 10° to 90°), low angle first:
28.04°, rel. 100, (0 1 5); 28.69°, rel. 21, (0 0 15); 32.68°, rel. 56, (1 0 10); 36.48°, rel. 10, (1 0 13); 46.48°, rel. 23, (1 1 0); 47.31°, rel. 10, (0 1 20); 55.16°, rel. 12, (2 0 5); 55.53°, rel. 16, (1 1 15); 57.97°, rel. 9, (0 2 10); 74.94°, rel. 9, (1 2 5)

```
data_K3Cr2
_symmetry_space_group_name_H-M 'R -3 m'
_symmetry_Int_Tables_number 166
_symmetry_space_group_name_Hall '-R 3 2"'
_cell_length_a 3.9078
_cell_length_b 3.9078
_cell_length_c 46.6772
_cell_angle_alpha 90.00
_cell_angle_beta 90.00
_cell_angle_gamma 120.00
loop_
_atom_site_label
_atom_site_type_symbol
_atom_site_fract_x
_atom_site_fract_y
_atom_site_fract_z
K1 K 0.0000 0.0000 0.0000
K2 K 0.0000 0.0000 0.2104
Cr1 Cr 0.0000 0.0000 0.3954
```